Entry 1:
# AcHf2Pt2
Computed X-ray diffraction stick pattern, Cu Kα (weighted mean of Kα1 and Kα2). Input: a structure optimized by DFT (GGA-PBE).
Peak positions follow from Bragg's law for the DFT cell and can differ from measured ones.

Unit cell a=4.652 b=4.652 c=11.109 alpha=90.00 beta=90.00 gamma=90.00
Space group I4/mmm (No. 139)
One atom of each set of equivalent atoms:
Ac 0.000 0.000 0.000 x2
Hf 0.000 0.500 0.250 x4
Pt 0.000 0.000 0.374 x4

The 10 most intense peaks (15 to 90 degrees two-theta), low angle first:
h k l, 2θ (°), Rel. int.
1 0 3, 30.86, 82
1 1 2, 31.61, 100
2 0 0, 38.71, 83
1 1 4, 42.60, 37
1 0 5, 45.23, 27
2 1 3, 50.30, 43
2 2 0, 55.90, 29
1 1 6, 57.08, 21
2 1 5, 61.01, 23
3 1 2, 65.65, 25


Entry 2:
# LaPr2US8
Computed X-ray diffraction stick pattern, Cu Kα (weighted mean of Kα1 and Kα2). Input: a structure optimized by DFT (GGA-PBE).
Peak positions follow from Bragg's law for the DFT cell and can differ from measured ones.

Unit cell a=4.728 b=9.227 c=6.816 alpha=90.00 beta=90.07 gamma=90.00
Space group P2/m (No. 10)
One atom of each set of equivalent atoms:
La 0.000 0.000 0.000 x1
Pr 0.500 0.248 0.500 x2
U 0.000 0.500 0.000 x1
S 0.000 0.276 0.242 x4
S 0.500 0.000 0.252 x2
S 0.500 0.500 0.218 x2

The 10 most intense peaks (15 to 90 degrees two-theta), low angle first:
h k l, 2θ (°), Rel. int.
1 0 1, 22.89, 94
0 2 1, 23.28, 94
1 2 0, 27.00, 22
1 2 2, 37.94, 100
2 0 0, 38.06, 25
0 4 0, 39.05, 22
1 0 -3, 44.23, 18
0 2 3, 44.45, 16
2 2 -1, 45.10, 33
1 4 1, 45.74, 30


Entry 3:
# Fe2NiRu
Computed X-ray diffraction stick pattern, Cu Kα (weighted mean of Kα1 and Kα2). Input: a structure optimized by DFT (GGA-PBE).
Peak positions follow from Bragg's law for the DFT cell and can differ from measured ones.

Unit cell a=2.606 b=3.555 c=5.164 alpha=90.00 beta=90.00 gamma=90.00
Space group Pmm2 (No. 25)
One atom of each set of equivalent atoms:
Fe 0.000 0.000 0.000 x1
Fe 0.500 0.500 0.258 x1
Ni 0.000 0.000 0.495 x1
Ru 0.500 0.500 0.764 x1

The 10 most intense peaks (15 to 90 degrees two-theta), low angle first:
h k l, 2θ (°), Rel. int.
0 0 1, 17.17, 11
1 1 0, 43.03, 100
0 1 2, 43.31, 97
1 0 2, 49.71, 64
0 2 0, 51.40, 29
2 0 0, 72.55, 10
0 0 4, 73.33, 9
1 2 2, 74.30, 35
2 1 2, 88.42, 22
1 1 4, 88.98, 22


Entry 4:
# NaCu2BrCl2
Computed X-ray diffraction stick pattern, Cu Kα (weighted mean of Kα1 and Kα2). Input: a structure optimized by DFT (GGA-PBE).
Peak positions follow from Bragg's law for the DFT cell and can differ from measured ones.

Unit cell a=6.510 b=5.132 c=8.874 alpha=90.00 beta=109.05 gamma=90.00
Space group P2_1/m (No. 11)
One atom of each set of equivalent atoms:
Na 0.247 0.250 0.100 x2
Cu 0.067 0.000 0.654 x4
Br 0.275 0.250 0.510 x2
Cl 0.100 0.750 0.182 x2
Cl 0.318 0.750 0.852 x2

The 10 most intense peaks (15 to 90 degrees two-theta), low angle first:
h k l, 2θ (°), Rel. int.
1 1 1, 26.93, 78
1 1 -2, 27.63, 100
1 0 2, 29.43, 39
2 0 -3, 35.65, 31
1 2 -1, 38.16, 35
2 0 2, 41.71, 61
2 0 -4, 43.58, 33
2 2 -1, 45.00, 64
2 2 0, 46.04, 57
0 2 3, 48.13, 76


Entry 5:
# Pm9PrEr2
Computed X-ray diffraction stick pattern, Cu Kα (weighted mean of Kα1 and Kα2). Input: a structure optimized by DFT (GGA-PBE).
Peak positions follow from Bragg's law for the DFT cell and can differ from measured ones.

Unit cell a=5.133 b=5.133 c=15.401 alpha=90.00 beta=90.00 gamma=90.00
Space group P4/mmm (No. 123)
One atom of each set of equivalent atoms:
Pm 0.000 0.000 0.000 x1
Pm 0.000 0.000 0.336 x2
Pm 0.000 0.500 0.170 x4
Pm 0.000 0.500 0.500 x2
Pr 0.500 0.500 0.000 x1
Er 0.500 0.500 0.335 x2

The 8 most intense peaks (15 to 90 degrees two-theta), low angle first:
h k l, 2θ (°), Rel. int.
1 1 3, 30.16, 100
2 0 0, 34.96, 51
2 2 0, 50.27, 36
3 1 3, 59.75, 43
2 2 6, 62.70, 12
4 0 0, 73.85, 6
3 3 3, 81.78, 18
4 2 0, 84.39, 16


Entry 6:
# Ni8Os
Computed X-ray diffraction stick pattern, Cu Kα (weighted mean of Kα1 and Kα2). Input: a structure optimized by DFT (GGA-PBE).
Peak positions follow from Bragg's law for the DFT cell and can differ from measured ones.

Unit cell a=7.548 b=7.548 c=3.567 alpha=90.00 beta=90.00 gamma=90.00
Space group I4/mmm (No. 139)
One atom of each set of equivalent atoms:
Ni 0.000 0.334 0.000 x8
Ni 0.166 0.166 0.500 x8
Os 0.000 0.000 0.000 x2

The 10 most intense peaks (15 to 90 degrees two-theta), low angle first:
h k l, 2θ (°), Rel. int.
1 1 0, 16.61, 17
2 0 0, 23.57, 8
1 0 1, 27.66, 10
2 1 1, 36.66, 10
3 1 0, 37.69, 5
3 0 1, 44.05, 100
0 0 2, 51.23, 16
3 3 0, 51.36, 31
3 3 2, 75.48, 19
6 0 0, 75.59, 9


Entry 7:
# CsLiPb
Computed X-ray diffraction stick pattern, Cu Kα (weighted mean of Kα1 and Kα2). Input: a structure optimized by DFT (GGA-PBE).
Peak positions follow from Bragg's law for the DFT cell and can differ from measured ones.

Unit cell a=9.650 b=5.734 c=9.184 alpha=90.00 beta=94.73 gamma=90.00
Space group C2/m (No. 12)
One atom of each set of equivalent atoms:
Cs 0.168 0.000 0.336 x4
Li 0.000 0.260 0.000 x4
Pb 0.238 0.000 0.902 x4

The 10 most intense peaks (15 to 90 degrees two-theta), low angle first:
h k l, 2θ (°), Rel. int.
2 0 0, 18.45, 77
2 0 1, 21.57, 32
1 1 -2, 26.01, 100
1 1 2, 27.15, 63
0 2 0, 31.20, 34
1 1 3, 35.25, 28
2 2 0, 36.45, 55
4 0 -2, 40.91, 18
3 1 3, 45.54, 21
1 3 -2, 52.41, 24


Entry 8:
# Pu4TlPd3
Computed X-ray diffraction stick pattern, Cu Kα (weighted mean of Kα1 and Kα2). Input: a structure optimized by DFT (GGA-PBE).
Peak positions follow from Bragg's law for the DFT cell and can differ from measured ones.

Unit cell a=3.094 b=5.473 c=10.844 alpha=90.00 beta=90.00 gamma=90.00
Space group Pmmm (No. 47)
One atom of each set of equivalent atoms:
Pu 0.000 0.000 0.000 x1
Pu 0.000 0.000 0.500 x1
Pu 0.000 0.500 0.233 x2
Tl 0.500 0.500 0.500 x1
Pd 0.500 0.000 0.250 x2
Pd 0.500 0.500 0.000 x1

The 10 most intense peaks (15 to 90 degrees two-theta), low angle first:
h k l, 2θ (°), Rel. int.
0 1 2, 23.09, 12
0 2 0, 32.73, 36
0 0 4, 33.04, 33
1 1 2, 37.27, 100
0 2 4, 47.19, 25
1 3 2, 61.43, 24
1 1 6, 61.82, 21
2 2 0, 69.83, 9
2 2 4, 79.46, 11
1 3 6, 81.09, 10


Entry 9:
# CdAs3Br
Computed X-ray diffraction stick pattern, Cu Kα (weighted mean of Kα1 and Kα2). Input: a structure optimized by DFT (GGA-PBE).
Peak positions follow from Bragg's law for the DFT cell and can differ from measured ones.

Unit cell a=5.222 b=5.222 c=5.222 alpha=90.00 beta=90.00 gamma=90.00
Space group Pm-3m (No. 221)
One atom of each set of equivalent atoms:
Cd 0.000 0.000 0.000 x1
As 0.000 0.000 0.500 x3
Br 0.500 0.500 0.500 x1

The 10 most intense peaks (15 to 90 degrees two-theta), low angle first:
h k l, 2θ (°), Rel. int.
1 0 0, 16.98, 38
1 1 0, 24.10, 39
1 1 1, 29.63, 43
2 0 0, 34.35, 100
2 1 0, 38.55, 19
2 1 1, 42.40, 17
2 2 0, 49.37, 70
3 1 1, 58.64, 18
2 2 2, 61.52, 24
4 2 0, 82.64, 31


Entry 10:
# Nd5Sn2
Computed X-ray diffraction stick pattern, Cu Kα (weighted mean of Kα1 and Kα2). Input: a structure optimized by DFT (GGA-PBE).
Peak positions follow from Bragg's law for the DFT cell and can differ from measured ones.

Unit cell a=16.423 b=6.131 c=9.005 alpha=90.00 beta=96.45 gamma=90.00
Space group C2/c (No. 15)
One atom of each set of equivalent atoms:
Nd 0.000 0.213 0.250 x4
Nd 0.109 0.321 0.940 x8
Nd 0.222 0.098 0.320 x8
Sn 0.094 0.193 0.589 x8

The 10 most intense peaks (15 to 90 degrees two-theta), low angle first:
h k l, 2θ (°), Rel. int.
3 1 1, 24.77, 30
3 1 -2, 28.38, 39
0 2 0, 29.13, 19
0 2 1, 30.87, 31
2 2 0, 31.17, 22
4 0 2, 31.29, 61
5 1 -1, 31.67, 74
2 2 1, 33.16, 53
1 1 -3, 33.30, 100
6 0 -4, 49.76, 22


Entry 11:
# Ac4Si6Ir7
Computed X-ray diffraction stick pattern, Cu Kα (weighted mean of Kα1 and Kα2). Input: a structure optimized by DFT (GGA-PBE).
Peak positions follow from Bragg's law for the DFT cell and can differ from measured ones.

Unit cell a=8.740 b=8.740 c=8.740 alpha=90.00 beta=90.00 gamma=90.00
Space group Im-3m (No. 229)
One atom of each set of equivalent atoms:
Ac 0.250 0.250 0.250 x8
Si 0.000 0.000 0.347 x12
Ir 0.000 0.000 0.000 x2
Ir 0.000 0.250 0.500 x12

The 10 most intense peaks (15 to 90 degrees two-theta), low angle first:
h k l, 2θ (°), Rel. int.
2 1 1, 24.96, 48
2 2 0, 28.89, 36
2 2 2, 35.58, 100
3 2 1, 38.54, 44
4 0 0, 41.32, 73
3 3 2, 48.88, 15
4 4 0, 59.86, 46
5 3 2, 65.88, 15
6 2 2, 71.62, 38
4 4 4, 75.34, 14